For Li4ErSc3Se8, the PBE geometry in Alexandria gives the simulated powder XRD pattern in this record (λ = 1.5418 Å (Cu Kα)).
No peak broadening, texture or thermal motion is included.

Main lines, sorted by position (2θ from 10° to 80°):
d_spacing  I (rel.)  (hkl)
6.424  34  0 0 3
3.336  13  0 2 1
3.196  16  2 0 2
2.772  100  0 2 4
1.965  36  2 0 8
1.955  35  2 2 0
1.598  18  4 0 4
1.386  11  0 4 8
1.242  15  2 2 12
1.237  15  2 4 4

Structural model:
```
data_Li4ErSc3Se8
_chemical_formula_sum 'Li12 Er3 Sc9 Se24'
_cell_length_a 7.8210
_cell_length_b 7.8210
_cell_length_c 19.2994
_cell_angle_alpha 90.00
_cell_angle_beta 90.00
_cell_angle_gamma 120.00
_symmetry_space_group_name_H-M 'R -3 m'
_symmetry_Int_Tables_number 166
_symmetry_space_group_name_Hall '-R 3 2"'
loop_
_atom_site_label
_atom_site_type_symbol
_atom_site_fract_x
_atom_site_fract_y
_atom_site_fract_z
Li1 Li 0.0000 0.0000 0.0000
Li2 Li 0.0000 0.5000 0.0000
Er1 Er 0.0000 0.0000 0.5000
Sc1 Sc 0.0000 0.5000 0.5000
Se1 Se 0.0000 0.0000 0.2470
Se2 Se 0.0090 0.5045 0.7513
```